V4O5F7: computed XRD peak list (Cu Kα), based on a structure optimized by DFT (PBE+U).
Neutral-atom scattering factors, no anomalous dispersion.

Main lines, low angle first (15 to 90 degrees two-theta):
(0 1 0), 2θ = 18.92°, intensity 67; (0 1 1), 2θ = 19.52°, intensity 100; (1 1 1), 2θ = 20.34°, intensity 36; (1 0 1), 2θ = 21.28°, intensity 35; (1 0 -1), 2θ = 23.18°, intensity 70; (0 1 -1), 2θ = 23.82°, intensity 68; (1 1 2), 2θ = 25.09°, intensity 73; (1 0 -2), 2θ = 30.58°, intensity 36; (1 0 -3), 2θ = 39.84°, intensity 48; (1 -1 2), 2θ = 40.68°, intensity 36; (2 2 2), 2θ = 41.35°, intensity 46; (1 -2 1), 2θ = 53.46°, intensity 69

Unit cell a=5.138 b=5.394 c=8.703 alpha=72.90 beta=77.41 gamma=63.17
Sites, in units of the cell vectors:
V 0.000 0.000 0.000
V 0.076 0.286 0.656
V 0.555 0.768 0.186
V 0.770 0.074 0.414
O 0.414 0.190 0.474
O 0.762 0.981 0.210
O 0.765 0.422 0.279
O 0.824 0.305 0.860
O 0.896 0.139 0.569
F 0.246 0.860 0.355
F 0.258 0.127 0.061
F 0.265 0.456 0.705
F 0.287 0.925 0.794
F 0.321 0.640 0.095
F 0.809 0.771 0.980
F 0.844 0.676 0.521